# 1
# Mg14VMo
Simulated PXRD pattern, Cu Kα (weighted mean of Kα1 and Kα2). Input: a DFT-relaxed cell (PBE, Alexandria).
Peak positions follow from Bragg's law for the DFT cell and can differ from measured ones.

Crystal structure
abc: 10.0905 6.1173 10.9528
angles: 90.00 90.00 90.00
Space group Amm2 (No. 38)
Symmetry-distinct sites (fractional):
1 Mg 0.0000 0.0000 0.0000 (multiplicity 2)
2 Mg 0.0000 0.0000 0.4989 (multiplicity 2)
3 Mg 0.0000 0.2494 0.2510 (multiplicity 4)
4 Mg 0.2547 0.0000 0.6594 (multiplicity 4)
5 Mg 0.2602 0.0000 0.1580 (multiplicity 4)
6 Mg 0.2653 0.2469 0.9179 (multiplicity 8)
7 Mg 0.5000 0.2495 0.7511 (multiplicity 4)
8 V 0.5000 0.0000 0.5035 (multiplicity 2)
9 Mo 0.5000 0.0000 0.0044 (multiplicity 2)

The 12 most intense peaks (2θ = 10–80°), most intense first:
hkl, 2θ/deg, Rel. int.
2 2 2, 38.13, 1000
2 0 4, 37.37, 590
4 0 0, 35.59, 406
0 2 2, 33.56, 322
4 2 6, 70.76, 192
4 2 2, 49.72, 189
0 2 6, 58.92, 181
6 2 2, 65.60, 178
1 0 2, 18.43, 174
2 4 4, 73.35, 147
0 0 2, 16.18, 138
0 0 4, 32.70, 118

***

# 2
# Y2MgMo
Simulated PXRD pattern, Cu Kα (weighted mean of Kα1 and Kα2). Input: a DFT-relaxed cell (PBE, Alexandria).
Peak positions follow from Bragg's law for the DFT cell and can differ from measured ones.

Crystal structure
abc: 5.0330 3.2416 11.8961
angles: 90.00 90.00 90.00
Space group Amm2 (No. 38)
Symmetry-distinct sites (fractional):
1 Y 0.0000 0.0000 0.0000 (multiplicity 2)
2 Y 0.5000 0.0000 0.3198 (multiplicity 2)
3 Mg 0.5000 0.0000 0.5957 (multiplicity 2)
4 Mo 0.0000 0.0000 0.7270 (multiplicity 2)

The 12 most intense peaks (2θ = 10–80°), most intense first:
hkl, 2θ/deg, Rel. int.
1 1 1, 33.74, 1000
2 0 0, 35.73, 925
1 0 4, 35.05, 681
2 1 3, 51.42, 336
1 1 3, 40.15, 271
1 0 2, 23.15, 220
1 2 4, 68.52, 181
0 0 4, 30.05, 162
2 0 4, 47.35, 160
3 1 1, 62.86, 156
1 0 0, 17.62, 144
2 1 7, 73.28, 138